Simulated powder diffraction line list
Compound: Sb3N5
Radiation: a wavelength of 1.5418 Å
Structure: a structure optimized by DFT (GGA-PBE)
Lines closer than 0.1° are merged.

The 10 most intense peaks (15° ≤ 2θ ≤ 90°), in order of rising 2θ:
two_theta  I (rel.)
16.65  366
23.52  1000
30.65  972
33.60  786
35.00  757
42.71  266
44.79  306
51.53  205
55.25  358
55.42  336

Crystal structure
Lattice parameters (Å, degrees): 4.047 10.650 10.460 90.00 90.00 90.00
Space group Cmcm (No. 63)
Unique sites:
Sb: 0.000 0.136 0.064 [8 per cell]
Sb: 0.000 0.183 0.750 [4 per cell]
N: 0.000 0.050 0.613 [8 per cell]
N: 0.000 0.240 0.250 [4 per cell]
N: 0.000 0.302 0.574 [8 per cell]